No. 1
Computed X-ray diffraction stick pattern
Compound: LaTb2Pm6Y3
Radiation: λ = 1.5418 Å (Cu Kα)
Structure: DFT lattice parameters and positions (PBE)
Peak positions follow from Bragg's law for the DFT cell and can differ from measured ones.

Top 10 peaks for 10 to 90 degrees two-theta, in order of rising 2θ:
hkl 1 3 1, 30.17 deg, I = 100
hkl 0 0 4, 30.30 deg, I = 33
hkl 2 0 2, 35.02 deg, I = 67
hkl 0 6 0, 50.28 deg, I = 24
hkl 1 3 5, 50.44 deg, I = 24
hkl 4 0 0, 59.81 deg, I = 43
hkl 2 0 6, 59.98 deg, I = 14
hkl 2 6 2, 62.74 deg, I = 12
hkl 4 6 0, 81.79 deg, I = 12
hkl 5 3 1, 84.42 deg, I = 11

Structural model:
```
data_LaTb2Pm6Y3
_space_group_name_H-M_alt 'C 1 2/m 1'
_space_group_IT_number 12
_space_group_name_Hall '-C 2y'
_cell_length_a 6.2863
_cell_length_b 10.8894
_cell_length_c 11.9844
_cell_angle_alpha 90.00
_cell_angle_beta 100.07
_cell_angle_gamma 90.00
loop_
_atom_site_label
_atom_site_fract_x
_atom_site_fract_y
_atom_site_fract_z
La1 0.0000 0.0000 0.0000
Tb1 0.0000 0.3335 0.0000
Pm1 0.2484 0.3328 0.7483
Pm2 0.2498 0.0000 0.7480
Y1 0.0000 0.1672 0.5000
Y2 0.0000 0.5000 0.5000
```

No. 2
Computed X-ray diffraction stick pattern
Compound: Tm4CoBi3
Radiation: λ = 1.5418 Å (Cu Kα)
Structure: DFT lattice parameters and positions (PBE)
Peak positions follow from Bragg's law for the DFT cell and can differ from measured ones.

Top 10 peaks for 10 to 90 degrees two-theta, in order of rising 2θ:
hkl 0 2 0, 19.91 deg, I = 41
hkl 2 1 0, 20.42 deg, I = 100
hkl 0 0 2, 28.96 deg, I = 56
hkl 2 3 0, 35.15 deg, I = 84
hkl 2 1 2, 35.70 deg, I = 35
hkl 4 0 0, 36.05 deg, I = 42
hkl 1 2 2, 36.56 deg, I = 21
hkl 2 3 2, 46.17 deg, I = 53
hkl 4 0 2, 46.89 deg, I = 28
hkl 6 3 2, 71.99 deg, I = 23

Structural model:
```
data_Tm4CoBi3
_space_group_name_H-M_alt 'P m n 21'
_space_group_IT_number 31
_space_group_name_Hall 'P 2ac -2'
_cell_length_a 9.9645
_cell_length_b 8.9190
_cell_length_c 6.1657
_cell_angle_alpha 90.00
_cell_angle_beta 90.00
_cell_angle_gamma 90.00
loop_
_atom_site_label
_atom_site_fract_x
_atom_site_fract_y
_atom_site_fract_z
Tm1 0.0000 0.1229 0.0000
Tm2 0.0000 0.8248 0.6524
Tm3 0.2257 0.6851 0.0118
Co1 0.0000 0.8314 0.0901
Bi1 0.0000 0.1438 0.4950
Bi2 0.2492 0.3348 0.0050
```

No. 3
Computed X-ray diffraction stick pattern
Compound: FeAg
Radiation: λ = 1.5418 Å (Cu Kα)
Structure: DFT lattice parameters and positions (PBE)
Peak positions follow from Bragg's law for the DFT cell and can differ from measured ones.

Top 10 peaks for 10 to 90 degrees two-theta, in order of rising 2θ:
hkl 1 1 -1, 33.86 deg, I = 21
hkl 2 0 -3, 38.36 deg, I = 31
hkl 2 0 2, 39.33 deg, I = 56
hkl 1 1 -2, 40.15 deg, I = 100
hkl 4 0 -2, 40.37 deg, I = 44
hkl 3 1 0, 43.98 deg, I = 84
hkl 2 0 -4, 51.31 deg, I = 16
hkl 1 1 4, 69.13 deg, I = 15
hkl 5 1 2, 77.19 deg, I = 14
hkl 2 2 2, 78.11 deg, I = 13

Structural model:
```
data_FeAg
_space_group_name_H-M_alt 'C 1 2/m 1'
_space_group_IT_number 12
_space_group_name_Hall '-C 2y'
_cell_length_a 9.3996
_cell_length_b 2.8945
_cell_length_c 7.1246
_cell_angle_alpha 90.00
_cell_angle_beta 110.81
_cell_angle_gamma 90.00
loop_
_atom_site_label
_atom_site_fract_x
_atom_site_fract_y
_atom_site_fract_z
Fe1 0.0000 0.0000 0.0000
Fe2 0.1614 0.5000 0.8751
Ag1 0.0000 0.0000 0.5000
Ag2 0.1769 0.5000 0.3136
```

No. 4
Computed X-ray diffraction stick pattern
Compound: Pr3S3N
Radiation: λ = 1.5418 Å (Cu Kα)
Structure: DFT lattice parameters and positions (PBE)
Peak positions follow from Bragg's law for the DFT cell and can differ from measured ones.

Top 10 peaks for 10 to 90 degrees two-theta, in order of rising 2θ:
hkl 3 0 2, 25.40 deg, I = 100
hkl 2 1 0, 26.20 deg, I = 60
hkl 1 1 2, 26.68 deg, I = 72
hkl 0 0 4, 26.87 deg, I = 72
hkl 1 1 3, 30.71 deg, I = 31
hkl 3 1 1, 31.59 deg, I = 36
hkl 3 1 2, 33.74 deg, I = 35
hkl 2 1 4, 37.88 deg, I = 66
hkl 0 2 0, 44.52 deg, I = 36
hkl 3 2 2, 51.96 deg, I = 36

Structural model:
```
data_Pr3S3N
_space_group_name_H-M_alt 'P n m a'
_space_group_IT_number 62
_space_group_name_Hall '-P 2ac 2n'
_cell_length_a 12.3896
_cell_length_b 4.0703
_cell_length_c 13.2708
_cell_angle_alpha 90.00
_cell_angle_beta 90.00
_cell_angle_gamma 90.00
loop_
_atom_site_label
_atom_site_fract_x
_atom_site_fract_y
_atom_site_fract_z
Pr1 0.0430 0.2500 0.1484
Pr2 0.0797 0.2500 0.6282
Pr3 0.2199 0.2500 0.8657
S1 0.0839 0.2500 0.3926
S2 0.1374 0.7500 0.9947
S3 0.2283 0.7500 0.6964
N1 0.0442 0.2500 0.7982
```

No. 5
Computed X-ray diffraction stick pattern
Compound: Pm2Cu
Radiation: λ = 1.5418 Å (Cu Kα)
Structure: DFT lattice parameters and positions (PBE)
Peak positions follow from Bragg's law for the DFT cell and can differ from measured ones.

Top 10 peaks for 10 to 90 degrees two-theta, in order of rising 2θ:
hkl 1 0 1, 25.84 deg, I = 12
hkl 0 0 4, 28.72 deg, I = 37
hkl 1 0 3, 33.02 deg, I = 100
hkl 1 1 0, 35.37 deg, I = 63
hkl 1 0 4, 38.31 deg, I = 20
hkl 1 1 4, 46.18 deg, I = 15
hkl 2 0 0, 50.88 deg, I = 25
hkl 1 0 7, 57.94 deg, I = 14
hkl 2 0 4, 59.48 deg, I = 15
hkl 2 1 3, 62.00 deg, I = 32

Structural model:
```
data_Pm2Cu
_space_group_name_H-M_alt 'P 4/m m m'
_space_group_IT_number 123
_space_group_name_Hall '-P 4 2'
_cell_length_a 3.5892
_cell_length_b 3.5892
_cell_length_c 12.4301
_cell_angle_alpha 90.00
_cell_angle_beta 90.00
_cell_angle_gamma 90.00
loop_
_atom_site_label
_atom_site_fract_x
_atom_site_fract_y
_atom_site_fract_z
Pm1 0.0000 0.0000 0.0000
Pm2 0.0000 0.0000 0.2829
Pm3 0.5000 0.5000 0.5000
Cu1 0.5000 0.5000 0.1434
```

No. 6
Computed X-ray diffraction stick pattern
Compound: Y4AuSeS2
Radiation: λ = 1.5418 Å (Cu Kα)
Structure: DFT lattice parameters and positions (PBE)
Peak positions follow from Bragg's law for the DFT cell and can differ from measured ones.

Top 10 peaks for 10 to 90 degrees two-theta, in order of rising 2θ:
hkl 0 0 1, 13.16 deg, I = 22
hkl 1 1 0, 26.25 deg, I = 19
hkl 2 0 -2, 31.28 deg, I = 50
hkl 1 1 1, 31.39 deg, I = 100
hkl 2 0 2, 43.94 deg, I = 19
hkl 1 1 -3, 44.70 deg, I = 36
hkl 3 1 -1, 45.10 deg, I = 36
hkl 0 2 0, 46.01 deg, I = 17
hkl 2 2 -2, 56.69 deg, I = 18
hkl 2 2 2, 65.50 deg, I = 11

Structural model:
```
data_Y4AuSeS2
_space_group_name_H-M_alt 'P 1 2/m 1'
_space_group_IT_number 10
_space_group_name_Hall '-P 2y'
_cell_length_a 7.0088
_cell_length_b 3.9452
_cell_length_c 7.0905
_cell_angle_alpha 90.00
_cell_angle_beta 108.44
_cell_angle_gamma 90.00
loop_
_atom_site_label
_atom_site_fract_x
_atom_site_fract_y
_atom_site_fract_z
Y1 0.2443 0.0000 0.2345
Y2 0.2544 0.5000 0.7632
Au1 0.0000 0.0000 0.5000
Se1 0.5000 0.5000 0.5000
S1 0.0000 0.5000 0.0000
S2 0.5000 0.0000 0.0000
```

No. 7
Computed X-ray diffraction stick pattern
Compound: Th2Co4Ge
Radiation: λ = 1.5418 Å (Cu Kα)
Structure: DFT lattice parameters and positions (PBE)
Peak positions follow from Bragg's law for the DFT cell and can differ from measured ones.

Top 10 peaks for 10 to 90 degrees two-theta, in order of rising 2θ:
hkl 0 0 2, 21.32 deg, I = 46
hkl 2 0 0, 23.46 deg, I = 31
hkl 0 2 2, 30.84 deg, I = 78
hkl 2 0 2, 31.91 deg, I = 25
hkl 2 2 0, 32.39 deg, I = 77
hkl 2 2 2, 39.11 deg, I = 100
hkl 0 0 4, 43.44 deg, I = 31
hkl 0 4 0, 44.89 deg, I = 30
hkl 2 2 4, 55.21 deg, I = 32
hkl 0 4 4, 64.24 deg, I = 19

Structural model:
```
data_Th2Co4Ge
_space_group_name_H-M_alt 'F m m m'
_space_group_IT_number 69
_space_group_name_Hall '-F 2 2'
_cell_length_a 7.5838
_cell_length_b 8.0765
_cell_length_c 8.3333
_cell_angle_alpha 90.00
_cell_angle_beta 90.00
_cell_angle_gamma 90.00
loop_
_atom_site_label
_atom_site_fract_x
_atom_site_fract_y
_atom_site_fract_z
Th1 0.2500 0.2500 0.2500
Co1 0.0000 0.0000 0.2258
Co2 0.1884 0.0000 0.0000
Ge1 0.0000 0.0000 0.5000
```

No. 8
Computed X-ray diffraction stick pattern
Compound: Ba6Na2TlPd
Radiation: λ = 1.5418 Å (Cu Kα)
Structure: DFT lattice parameters and positions (PBE)
Peak positions follow from Bragg's law for the DFT cell and can differ from measured ones.

Top 10 peaks for 10 to 90 degrees two-theta, in order of rising 2θ:
hkl 0 2 0, 13.46 deg, I = 100
hkl 2 2 0, 23.42 deg, I = 38
hkl 0 4 0, 27.11 deg, I = 93
hkl 2 0 1, 30.38 deg, I = 57
hkl 4 0 0, 38.70 deg, I = 59
hkl 0 6 0, 41.16 deg, I = 27
hkl 2 6 -2, 45.73 deg, I = 15
hkl 4 4 0, 47.85 deg, I = 13
hkl 4 4 -4, 47.95 deg, I = 13
hkl 8 0 -6, 63.25 deg, I = 22

Structural model:
```
data_Ba6Na2TlPd
_space_group_name_H-M_alt 'C 1 m 1'
_space_group_IT_number 8
_space_group_name_Hall 'C -2y'
_cell_length_a 13.1518
_cell_length_b 13.1537
_cell_length_c 9.2902
_cell_angle_alpha 90.00
_cell_angle_beta 134.89
_cell_angle_gamma 90.00
loop_
_atom_site_label
_atom_site_fract_x
_atom_site_fract_y
_atom_site_fract_z
Ba1 0.0000 0.0000 0.0000
Ba2 0.0006 0.0000 0.4832
Ba3 0.0178 0.5000 0.5186
Ba4 0.0188 0.5000 0.0028
Ba5 0.2592 0.2588 0.0013
Na1 0.2601 0.2502 0.5028
Tl1 0.2590 0.0000 0.0007
Pd1 0.2591 0.5000 0.0008
```